[1]
LaSmNi2O6: computed powder diffractogram (Cu Ka), based on the PBE+U geometry in the Materials Project.
Intensities are scaled so that the largest is 100.

Most intense lines, 10 to 90 degrees two-theta, low angle first:
| 2theta | Rel. int. | h k l |
| --- | --- | --- |
| 23.25 | 11.6 | 2 0 0 |
| 33.11 | 100.0 | 2 2 0 |
| 40.85 | 16.1 | 2 2 2 |
| 47.53 | 31.3 | 4 0 0 |
| 53.56 | 6.0 | 4 2 0 |
| 59.15 | 38.0 | 4 2 2 |
| 69.49 | 18.3 | 4 4 0 |
| 79.17 | 16.2 | 6 2 0 |
| 83.87 | 5.2 | 6 2 2 |
| 88.54 | 6.3 | 4 4 4 |

Crystal structure
```
data_LaSmNi2O6
_chemical_formula_sum 'La4 Sm4 Ni8 O24'
_symmetry_space_group_name_H-M 'P 4/m m m'
_symmetry_Int_Tables_number 123
_symmetry_space_group_name_Hall '-P 4 2'
_cell_length_a 7.6511
_cell_length_b 7.6511
_cell_length_c 7.6525
_cell_angle_alpha 90.00
_cell_angle_beta 90.00
_cell_angle_gamma 90.00
loop_
_atom_site_label
_atom_site_type_symbol
_atom_site_fract_x
_atom_site_fract_y
_atom_site_fract_z
La1 La 0.0000 0.0000 0.0000
La2 La 0.0000 0.5000 0.0000
La3 La 0.5000 0.5000 0.5000
Sm1 Sm 0.0000 0.0000 0.5000
Sm2 Sm 0.0000 0.5000 0.5000
Sm3 Sm 0.5000 0.5000 0.0000
Ni1 Ni 0.2500 0.2500 0.2510
O1 O 0.0000 0.2500 0.2556
O2 O 0.2480 0.2480 0.5000
O3 O 0.2498 0.5000 0.2513
O4 O 0.2524 0.2524 0.0000
```

[2]
MgAlCuW2O8: computed powder diffractogram (Cu Ka), based on the PBE+U geometry in the Materials Project.
Intensities are scaled so that the largest is 100.

Most intense lines, 10 to 90 degrees two-theta, low angle first:
| 2theta | Rel. int. | h k l |
| --- | --- | --- |
| 16.42 | 34.2 | 0 0 1 |
| 18.70 | 100.0 | 0 1 0 |
| 23.17 | 50.0 | 1 0 -1 |
| 23.47 | 36.8 | 1 -1 1 |
| 29.16 | 47.8 | 0 1 1 |
| 31.90 | 51.8 | 1 1 -1 |
| 32.59 | 47.2 | 1 -2 1 |
| 34.61 | 44.1 | 2 -1 0 |
| 35.56 | 39.3 | 1 0 -2 |
| 51.67 | 34.2 | 0 2 -3 |

Crystal structure
```
data_MgAlCuW2O8
_chemical_formula_sum 'Mg1 Al1 Cu1 W2 O8'
_symmetry_space_group_name_H-M 'P 1'
_symmetry_Int_Tables_number 1
_cell_length_a 5.1844
_cell_length_b 5.6472
_cell_length_c 5.7765
_cell_angle_alpha 108.48
_cell_angle_beta 90.46
_cell_angle_gamma 115.95
loop_
_symmetry_equiv_pos_as_xyz
'x,y,z'
loop_
_atom_site_label
_atom_site_type_symbol
_atom_site_fract_x
_atom_site_fract_y
_atom_site_fract_z
Mg1 Mg 0.0000 0.0000 0.0000
Al1 Al 0.5247 0.0597 0.7309
Cu1 Cu 0.1175 0.3058 0.5625
W1 W 0.2970 0.5947 0.0878
W2 W 0.7774 0.5603 0.3973
O1 O 0.2234 0.8033 0.4311
O2 O 0.2935 0.8446 0.9351
O3 O 0.3166 0.2706 0.8286
O4 O 0.3329 0.3574 0.2894
O5 O 0.7291 0.8472 0.6772
O6 O 0.7348 0.7752 0.1854
O7 O 0.7405 0.3048 0.5601
O8 O 0.8551 0.3272 0.0553
```